Structure and theoretical X-ray diffraction stick pattern of MgBN2O (a structure optimized by DFT (PBE); CuKα).
Kinematic intensities with the Lorentz-polarization factor, no thermal factor.

Cell and atoms:
```
data_MgBN2O
_cell_length_a 2.9748
_cell_length_b 2.9748
_cell_length_c 6.3820
_cell_angle_alpha 90.00
_cell_angle_beta 90.00
_cell_angle_gamma 90.00
_space_group_name_H-M_alt 'P 4/m m m'
_space_group_IT_number 123
_space_group_name_Hall '-P 4 2'
loop_
_atom_site_label
_atom_site_fract_x
_atom_site_fract_y
_atom_site_fract_z
Mg1 0.0000 0.0000 0.0000
B1 0.5000 0.5000 0.5000
N1 0.0000 0.5000 0.5000
O1 0.5000 0.5000 0.0000
```

Most intense lines, 2θ = 10–80°, by angle:
d = 3.191 Å, I 100, (0 0 2)
d = 2.696 Å, I 11, (1 0 1)
d = 2.103 Å, I 5, (1 1 0)
d = 1.998 Å, I 53, (1 1 1)
d = 1.756 Å, I 6, (1 1 2)
d = 1.730 Å, I 3, (1 0 3)
d = 1.596 Å, I 9, (0 0 4)
d = 1.496 Å, I 17, (1 1 3)
d = 1.487 Å, I 13, (2 0 0)
d = 1.348 Å, I 17, (2 0 2)